Simulated powder diffraction line list of LaCeBN3 for a wavelength of 1.5418 Å, from a crystal structure in Alexandria, relaxed with PBE.
Lines closer than 0.1° are merged.

Atomic structure:
Cell: 5.5674 5.5674 6.6472 Å, 90.00 90.00 120.00°
Sites, in units of the cell vectors:
La 0.3333 0.6667 0.2500
La 0.6667 0.3333 0.7500
Ce 0.0000 0.0000 0.0000
Ce 0.0000 0.0000 0.5000
B 0.3333 0.6667 0.7500
B 0.6667 0.3333 0.2500
N 0.1813 0.3625 0.7500
N 0.1813 0.8187 0.7500
N 0.3625 0.1813 0.2500
N 0.6375 0.8187 0.7500
N 0.8187 0.1813 0.2500
N 0.8187 0.6375 0.2500

Largest 12 diffraction maxima, low angle first, 10° ≤ 2θ ≤ 80°:
| hkl | Position (°2θ) | I (rel.) |
| --- | --- | --- |
| 1 0 0 | 18.40 | 23 |
| 1 0 1 | 22.78 | 51 |
| 1 1 0 | 32.16 | 88 |
| 1 0 2 | 32.73 | 100 |
| 2 0 1 | 39.77 | 28 |
| 2 0 2 | 46.54 | 45 |
| 2 1 1 | 52.03 | 14 |
| 3 0 0 | 57.33 | 17 |
| 2 1 2 | 57.69 | 36 |
| 1 1 4 | 65.41 | 23 |
| 2 2 0 | 67.27 | 13 |
| 3 1 2 | 76.84 | 17 |